[1]
Diffraction record for Sr5VN4Cl2. The X-ray diffraction stick pattern is calculated, not measured: it uses a DFT-relaxed cell (GGA-PBE, Alexandria) and CuKα.

```
12
Lattice="8.1571 0.0000 0.0000 0.0000 4.8643 3.1599 0.0000 -4.8643 3.1599" Properties=species:S:1:pos:R:3 pbc="T T T"
Sr 0.0000 0.0000 0.0000
Sr 2.4580 -1.7750 2.4309
Sr 2.4580 1.7750 2.4309
Sr 5.6990 -1.7750 2.4309
Sr 5.6990 1.7750 2.4309
V 4.0785 0.0000 5.6263
N 2.5634 0.0000 0.4103
N 4.0785 -1.5046 4.5055
N 4.0785 1.5046 4.5055
N 5.5937 0.0000 0.4103
Cl 0.0000 -2.0245 4.2027
Cl 0.0000 2.0245 4.2027
```

Most intense lines, 2θ from 15° to 90°, low angle first:
2theta, Rel. int.
27.6, 68
28.2, 29
28.6, 30
31.0, 100
32.9, 41
36.0, 26
38.2, 24
40.6, 48
45.9, 31
54.2, 24

***

[2]
Diffraction record for TaN2Cl5. The X-ray diffraction stick pattern is calculated, not measured: it uses a DFT-relaxed cell (GGA-PBE, Alexandria) and CuKα.

```
8
Lattice="3.8673 -6.1173 0.0000 3.8673 6.1173 0.0000 -3.8533 0.0000 6.1597" Properties=species:S:1:pos:R:3 pbc="T T T"
Ta 0.0000 0.0000 0.0000
N 1.7555 3.0593 3.0880
N 1.7555 -3.0593 3.0880
Cl 2.7561 4.1202 0.0055
Cl -0.0381 0.0000 2.3300
Cl -1.5786 0.0000 6.1527
Cl 2.7561 -4.1202 0.0055
Cl 3.8283 0.0000 3.8300
```

Most intense lines, 2θ from 15° to 90°, low angle first:
2theta, Rel. int.
15.3, 100
20.5, 13
25.6, 9
25.7, 19
27.3, 22
29.0, 12
36.4, 10
39.1, 13
39.3, 9
42.1, 14

***

What did the second record say?
Diffraction record for TaN2Cl5. The X-ray diffraction stick pattern is calculated, not measured: it uses a DFT-relaxed cell (GGA-PBE, Alexandria) and CuKα.

```
8
Lattice="3.8673 -6.1173 0.0000 3.8673 6.1173 0.0000 -3.8533 0.0000 6.1597" Properties=species:S:1:pos:R:3 pbc="T T T"
Ta 0.0000 0.0000 0.0000
N 1.7555 3.0593 3.0880
N 1.7555 -3.0593 3.0880
Cl 2.7561 4.1202 0.0055
Cl -0.0381 0.0000 2.3300
Cl -1.5786 0.0000 6.1527
Cl 2.7561 -4.1202 0.0055
Cl 3.8283 0.0000 3.8300
```

Most intense lines, 2θ from 15° to 90°, low angle first:
2theta, Rel. int.
15.3, 100
20.5, 13
25.6, 9
25.7, 19
27.3, 22
29.0, 12
36.4, 10
39.1, 13
39.3, 9
42.1, 14

***

Repeat the second record exactly.
Diffraction record for TaN2Cl5. The X-ray diffraction stick pattern is calculated, not measured: it uses a DFT-relaxed cell (GGA-PBE, Alexandria) and CuKα.

```
8
Lattice="3.8673 -6.1173 0.0000 3.8673 6.1173 0.0000 -3.8533 0.0000 6.1597" Properties=species:S:1:pos:R:3 pbc="T T T"
Ta 0.0000 0.0000 0.0000
N 1.7555 3.0593 3.0880
N 1.7555 -3.0593 3.0880
Cl 2.7561 4.1202 0.0055
Cl -0.0381 0.0000 2.3300
Cl -1.5786 0.0000 6.1527
Cl 2.7561 -4.1202 0.0055
Cl 3.8283 0.0000 3.8300
```

Most intense lines, 2θ from 15° to 90°, low angle first:
2theta, Rel. int.
15.3, 100
20.5, 13
25.6, 9
25.7, 19
27.3, 22
29.0, 12
36.4, 10
39.1, 13
39.3, 9
42.1, 14